# 1
Theoretical X-ray powder pattern
Compound: Ba3ZrIr2O9
Radiation: Cu Kα, 1.54184 Å
Structure: a DFT-relaxed cell (PBE, the Materials Project)

Crystal structure
abc: 5.877 5.877 14.582
angles: 90.00 90.00 120.00
Positions (direct):
Ba 0.000 0.000 0.250
Ba 0.000 0.000 0.750
Ba 0.333 0.667 0.093
Ba 0.333 0.667 0.407
Ba 0.667 0.333 0.593
Ba 0.667 0.333 0.907
Zr 0.000 0.000 0.000
Zr 0.000 0.000 0.500
Ir 0.333 0.667 0.662
Ir 0.333 0.667 0.838
Ir 0.667 0.333 0.162
Ir 0.667 0.333 0.338
O 0.018 0.509 0.750
O 0.170 0.339 0.583
O 0.170 0.339 0.917
O 0.170 0.830 0.583
O 0.170 0.830 0.917
O 0.339 0.170 0.083
O 0.339 0.170 0.417
O 0.491 0.509 0.750
O 0.491 0.982 0.750
O 0.509 0.018 0.250
O 0.509 0.491 0.250
O 0.661 0.830 0.583
O 0.661 0.830 0.917
O 0.830 0.170 0.083
O 0.830 0.170 0.417
O 0.830 0.661 0.083
O 0.830 0.661 0.417
O 0.982 0.491 0.250

Principal peaks in the range 15 to 90 degrees two-theta, by angle:
2theta  I (rel.)
18.46  30
30.15  51
30.42  100
35.47  22
43.36  28
53.89  20
54.05  20
63.30  18

***

# 2
Theoretical X-ray powder pattern
Compound: LiTe4H4O6F8
Radiation: Cu Kα, 1.54184 Å
Structure: a DFT-relaxed cell (PBE, the Materials Project)

Crystal structure
abc: 5.038 6.264 11.761
angles: 85.70 80.12 66.34
Positions (direct):
Li 0.000 0.000 0.000
Te 0.080 0.111 0.238
Te 0.110 0.177 0.709
Te 0.214 0.650 0.443
Te 0.739 0.601 0.921
H 0.468 0.051 0.982
H 0.485 0.654 0.597
H 0.523 0.136 0.549
H 0.881 0.658 0.103
O 0.126 0.363 0.828
O 0.306 0.772 0.570
O 0.322 0.832 0.311
O 0.339 0.269 0.581
O 0.416 0.920 0.012
O 0.907 0.515 0.062
F 0.288 0.284 0.298
F 0.498 0.953 0.745
F 0.643 0.468 0.409
F 0.681 0.284 0.968
F 0.786 0.475 0.659
F 0.840 0.946 0.474
F 0.910 0.906 0.157
F 0.977 0.801 0.889

Principal peaks in the range 15 to 90 degrees two-theta, by angle:
2theta  I (rel.)
19.49  75
19.79  89
21.73  90
21.88  100
22.06  67
22.85  54
26.74  32
34.76  29

***

# 3
Theoretical X-ray powder pattern
Compound: Al3CoW9C3
Radiation: Cu Kα, 1.54184 Å
Structure: a DFT-relaxed cell (PBE, the Materials Project)

Crystal structure
abc: 7.947 7.947 7.854
angles: 90.00 90.00 120.00
Positions (direct):
Al 0.110 0.221 0.250
Al 0.110 0.890 0.250
Al 0.221 0.110 0.750
Al 0.779 0.890 0.250
Al 0.890 0.110 0.750
Al 0.890 0.779 0.750
Co 0.000 0.000 0.000
Co 0.000 0.000 0.500
W 0.103 0.551 0.250
W 0.203 0.406 0.571
W 0.203 0.406 0.929
W 0.203 0.797 0.571
W 0.203 0.797 0.929
W 0.406 0.203 0.071
W 0.406 0.203 0.429
W 0.449 0.551 0.250
W 0.449 0.897 0.250
W 0.551 0.103 0.750
W 0.551 0.449 0.750
W 0.594 0.797 0.571
W 0.594 0.797 0.929
W 0.797 0.203 0.071
W 0.797 0.203 0.429
W 0.797 0.594 0.071
W 0.797 0.594 0.429
W 0.897 0.449 0.750
C 0.000 0.500 0.000
C 0.000 0.500 0.500
C 0.500 0.000 0.000
C 0.500 0.000 0.500
C 0.500 0.500 0.000
C 0.500 0.500 0.500

Principal peaks in the range 15 to 90 degrees two-theta, by angle:
2theta  I (rel.)
34.48  53
34.66  54
36.73  86
39.27  40
40.98  100
41.64  79
43.43  55
69.52  60

***

# 4
Theoretical X-ray powder pattern
Compound: BaTb2SmO6
Radiation: Cu Kα, 1.54184 Å
Structure: a DFT-relaxed cell (PBE, the Materials Project)

Crystal structure
abc: 8.649 5.992 6.201
angles: 90.00 90.00 90.00
Positions (direct):
Ba 0.000 0.248 0.000
Ba 0.000 0.752 0.500
Tb 0.261 0.243 0.537
Tb 0.261 0.757 0.037
Tb 0.739 0.243 0.537
Tb 0.739 0.757 0.037
Sm 0.500 0.263 0.097
Sm 0.500 0.737 0.597
O 0.000 0.307 0.561
O 0.000 0.693 0.061
O 0.235 0.090 0.200
O 0.235 0.910 0.700
O 0.337 0.454 0.829
O 0.337 0.546 0.329
O 0.500 0.099 0.457
O 0.500 0.901 0.957
O 0.663 0.454 0.829
O 0.663 0.546 0.329
O 0.765 0.090 0.200
O 0.765 0.910 0.700

Principal peaks in the range 15 to 90 degrees two-theta, by angle:
2theta  I (rel.)
28.80  24
29.26  100
29.82  25
41.78  13
41.93  21
51.31  17
52.58  23
60.68  13

***

# 5
Theoretical X-ray powder pattern
Compound: Al2Cd3N4
Radiation: Cu Kα, 1.54184 Å
Structure: a DFT-relaxed cell (PBE, the Materials Project)

Crystal structure
abc: 6.637 6.637 5.610
angles: 92.52 92.52 87.42
Positions (direct):
Al 0.111 0.340 0.403
Al 0.340 0.111 0.903
Al 0.660 0.889 0.097
Al 0.889 0.660 0.597
Cd 0.106 0.894 0.250
Cd 0.227 0.552 0.932
Cd 0.448 0.773 0.568
Cd 0.552 0.227 0.432
Cd 0.773 0.448 0.068
Cd 0.894 0.106 0.750
N 0.134 0.258 0.073
N 0.166 0.609 0.507
N 0.258 0.134 0.573
N 0.391 0.834 0.993
N 0.609 0.166 0.007
N 0.742 0.866 0.427
N 0.834 0.391 0.493
N 0.866 0.742 0.927

Principal peaks in the range 15 to 90 degrees two-theta, by angle:
2theta  I (rel.)
25.10  38
30.70  18
31.97  100
32.92  59
34.24  35
38.21  20
44.47  33
48.54  21

***

# 6
Theoretical X-ray powder pattern
Compound: Cs2RbGdCl6
Radiation: Cu Kα, 1.54184 Å
Structure: a DFT-relaxed cell (PBE, the Materials Project)

Crystal structure
abc: 8.221 8.221 8.221
angles: 60.00 60.00 60.00
Positions (direct):
Cs 0.250 0.250 0.250
Cs 0.750 0.750 0.750
Rb 0.000 0.000 0.000
Gd 0.500 0.500 0.500
Cl 0.270 0.270 0.730
Cl 0.270 0.730 0.270
Cl 0.270 0.730 0.730
Cl 0.730 0.270 0.270
Cl 0.730 0.270 0.730
Cl 0.730 0.730 0.270

Principal peaks in the range 15 to 90 degrees two-theta, by angle:
2theta  I (rel.)
21.62  100
30.76  56
37.91  46
44.06  39
49.59  24
59.50  27
72.76  16
85.10  15

***

# 7
Theoretical X-ray powder pattern
Compound: Nb9As2O25
Radiation: Cu Kα, 1.54184 Å
Structure: a DFT-relaxed cell (PBE, the Materials Project)

Crystal structure
abc: 11.571 11.571 11.571
angles: 91.75 91.75 159.87
Positions (direct):
Nb 0.000 0.000 0.000
Nb 0.101 0.779 0.879
Nb 0.125 0.319 0.443
Nb 0.221 0.101 0.322
Nb 0.319 0.875 0.194
Nb 0.681 0.125 0.806
Nb 0.779 0.899 0.678
Nb 0.875 0.681 0.557
Nb 0.899 0.221 0.121
As 0.250 0.750 0.500
As 0.750 0.250 0.500
O 0.016 0.281 0.298
O 0.050 0.883 0.933
O 0.094 0.441 0.536
O 0.117 0.050 0.167
O 0.163 0.650 0.813
O 0.181 0.213 0.394
O 0.213 0.819 0.032
O 0.254 0.388 0.642
O 0.281 0.984 0.265
O 0.350 0.163 0.513
O 0.388 0.746 0.134
O 0.441 0.906 0.347
O 0.500 0.500 0.000
O 0.559 0.094 0.653
O 0.612 0.254 0.866
O 0.650 0.837 0.487
O 0.719 0.016 0.735
O 0.746 0.612 0.358
O 0.787 0.181 0.968
O 0.819 0.787 0.606
O 0.837 0.350 0.187
O 0.883 0.950 0.833
O 0.906 0.559 0.464
O 0.950 0.117 0.067
O 0.984 0.719 0.702

Principal peaks in the range 15 to 90 degrees two-theta, by angle:
2theta  I (rel.)
22.67  41
24.71  100
25.25  17
29.79  27
31.84  24
35.23  21
42.74  16
63.65  15

***

# 8
Theoretical X-ray powder pattern
Compound: HgO
Radiation: Cu Kα, 1.54184 Å
Structure: a DFT-relaxed cell (PBE, the Materials Project)

Crystal structure
abc: 3.757 3.757 8.952
angles: 90.00 90.00 120.00
Positions (direct):
Hg 0.000 0.772 0.167
Hg 0.228 0.228 0.500
Hg 0.772 0.000 0.833
O 0.000 0.439 0.667
O 0.439 0.000 0.333
O 0.561 0.561 0.000

Principal peaks in the range 15 to 90 degrees two-theta, by angle:
2theta  I (rel.)
27.41  23
29.20  100
29.95  32
34.06  71
41.04  20
49.43  25
49.58  20
85.37  17